No. 1
This entry pairs a crystal structure of U4Te3S4 with its theoretical X-ray powder pattern. Radiation: λ = 1.5418 Å (Cu Kα). Structure: a DFT-relaxed cell (PBE, Alexandria).
Peak positions follow from Bragg's law for the DFT cell and can differ from measured ones.

Top 12 peaks for 5° ≤ 2θ ≤ 70°, low angle first:
| (hkl) | 2θ (°) | d (Å) | I_rel |
| --- | --- | --- | --- |
| 0 0 4 | 23.18 | 3.838 | 30 |
| 0 2 2 | 24.51 | 3.632 | 39 |
| 1 0 3 | 27.65 | 3.226 | 16 |
| 1 2 1 | 31.10 | 2.875 | 100 |
| 1 1 4 | 33.59 | 2.668 | 70 |
| 1 3 2 | 41.10 | 2.196 | 26 |
| 0 2 6 | 41.54 | 2.174 | 22 |
| 1 2 5 | 42.68 | 2.118 | 21 |
| 2 0 0 | 43.55 | 2.078 | 23 |
| 0 4 0 | 43.93 | 2.061 | 16 |
| 1 2 9 | 63.09 | 1.474 | 19 |
| 1 5 4 | 65.59 | 1.423 | 20 |

Cell: 4.156 8.244 15.351 Å, 90.00 90.00 90.00°
Space group Immm (No. 71)
Symmetry-distinct sites (fractional):
U  0.000  0.000  0.232 (multiplicity 4)
U  0.000  0.219  0.500 (multiplicity 4)
Te  0.000  0.000  0.000 (multiplicity 2)
Te  0.000  0.500  0.106 (multiplicity 4)
S  0.000  0.303  0.327 (multiplicity 8)

=====

No. 2
This entry pairs a crystal structure of ErTm4Ni4 with its theoretical X-ray powder pattern. Radiation: λ = 1.5418 Å (Cu Kα). Structure: a DFT-relaxed cell (PBE, Alexandria).
Peak positions follow from Bragg's law for the DFT cell and can differ from measured ones.

Top 12 peaks for 5° ≤ 2θ ≤ 70°, low angle first:
| (hkl) | 2θ (°) | d (Å) | I_rel |
| --- | --- | --- | --- |
| 2 1 1 | 28.65 | 3.116 | 77 |
| 1 3 0 | 33.49 | 2.676 | 100 |
| 1 0 2 | 34.34 | 2.612 | 48 |
| 3 1 1 | 37.38 | 2.406 | 13 |
| 1 2 2 | 40.59 | 2.222 | 21 |
| 2 3 1 | 41.86 | 2.158 | 11 |
| 3 0 2 | 46.13 | 1.968 | 18 |
| 1 3 2 | 47.44 | 1.916 | 12 |
| 4 2 0 | 48.08 | 1.892 | 33 |
| 2 3 2 | 51.20 | 1.784 | 24 |
| 1 4 2 | 55.93 | 1.644 | 17 |
| 5 0 1 | 56.93 | 1.617 | 23 |

Cell: 8.463 8.463 5.491 Å, 90.00 90.00 90.00°
Space group P4_2/n (No. 86, origin choice 2)
Symmetry-distinct sites (fractional):
Er  0.250  0.250  0.250 (multiplicity 2)
Tm  0.068  0.664  0.148 (multiplicity 8)
Ni  0.025  0.617  0.637 (multiplicity 8)

=====

No. 3
This entry pairs a crystal structure of CoTcHRu2 with its theoretical X-ray powder pattern. Radiation: λ = 1.5418 Å (Cu Kα). Structure: a DFT-relaxed cell (PBE, Alexandria).
Peak positions follow from Bragg's law for the DFT cell and can differ from measured ones.

Top 11 peaks for 5° ≤ 2θ ≤ 70°, low angle first:
| (hkl) | 2θ (°) | d (Å) | I_rel |
| --- | --- | --- | --- |
| 1 0 0 | 23.11 | 3.849 | 2 |
| 0 0 1 | 23.96 | 3.714 | 2 |
| 1 1 0 | 32.91 | 2.721 | 1 |
| 1 0 1 | 33.53 | 2.672 | 2 |
| 1 1 1 | 41.12 | 2.195 | 100 |
| 2 0 0 | 47.23 | 1.924 | 34 |
| 0 0 2 | 49.06 | 1.857 | 15 |
| 2 1 0 | 53.22 | 1.721 | 1 |
| 2 0 1 | 53.64 | 1.709 | 1 |
| 2 1 1 | 59.16 | 1.562 | 1 |
| 2 2 0 | 69.02 | 1.361 | 10 |

Cell: 3.849 3.849 3.714 Å, 90.00 90.00 90.00°
Space group P4/mmm (No. 123)
Symmetry-distinct sites (fractional):
Co  0.000  0.000  0.000 (multiplicity 1)
Tc  0.500  0.500  0.000 (multiplicity 1)
H  0.000  0.000  0.500 (multiplicity 1)
Ru  0.000  0.500  0.500 (multiplicity 2)

=====

No. 4
This entry pairs a crystal structure of Pm9CdIn2 with its theoretical X-ray powder pattern. Radiation: λ = 1.5418 Å (Cu Kα). Structure: a DFT-relaxed cell (PBE, Alexandria).
Peak positions follow from Bragg's law for the DFT cell and can differ from measured ones.

Top 10 peaks for 5° ≤ 2θ ≤ 70°, low angle first:
| (hkl) | 2θ (°) | d (Å) | I_rel |
| --- | --- | --- | --- |
| 0 0 3 | 17.91 | 4.954 | 1 |
| 1 1 0 | 25.43 | 3.503 | 1 |
| 1 1 3 | 31.27 | 2.860 | 100 |
| 2 0 0 | 36.22 | 2.480 | 34 |
| 0 0 6 | 36.37 | 2.470 | 17 |
| 2 2 0 | 52.15 | 1.754 | 12 |
| 2 0 6 | 52.27 | 1.750 | 23 |
| 3 1 3 | 62.08 | 1.495 | 28 |
| 1 1 9 | 62.29 | 1.491 | 14 |
| 2 2 6 | 65.24 | 1.430 | 12 |

Cell: 4.961 4.961 14.820 Å, 90.00 90.00 90.00°
Space group P4/mmm (No. 123)
Symmetry-distinct sites (fractional):
Pm  0.000  0.000  0.000 (multiplicity 1)
Pm  0.000  0.000  0.331 (multiplicity 2)
Pm  0.000  0.500  0.167 (multiplicity 4)
Pm  0.000  0.500  0.500 (multiplicity 2)
Cd  0.500  0.500  0.000 (multiplicity 1)
In  0.500  0.500  0.334 (multiplicity 2)

=====

No. 5
This entry pairs a crystal structure of HfZnAu6 with its theoretical X-ray powder pattern. Radiation: λ = 1.5418 Å (Cu Kα). Structure: a DFT-relaxed cell (PBE, Alexandria).
Peak positions follow from Bragg's law for the DFT cell and can differ from measured ones.

Top 12 peaks for 5° ≤ 2θ ≤ 70°, low angle first:
| (hkl) | 2θ (°) | d (Å) | I_rel |
| --- | --- | --- | --- |
| 0 0 1 | 12.05 | 7.347 | 3 |
| 1 1 0 | 23.71 | 3.753 | 3 |
| 2 0 -2 | 24.41 | 3.646 | 4 |
| 3 1 -1 | 36.18 | 2.483 | 3 |
| 1 1 2 | 37.45 | 2.402 | 100 |
| 3 1 -2 | 37.67 | 2.388 | 97 |
| 0 2 0 | 43.04 | 2.101 | 34 |
| 4 0 0 | 43.42 | 2.084 | 32 |
| 2 0 -4 | 44.47 | 2.037 | 31 |
| 4 2 0 | 62.79 | 1.480 | 22 |
| 2 0 4 | 63.60 | 1.463 | 32 |
| 6 0 -4 | 64.20 | 1.451 | 10 |

Cell: 9.249 4.203 8.150 Å, 90.00 115.66 90.00°
Space group C2/m (No. 12)
Symmetry-distinct sites (fractional):
Hf  0.000  0.000  0.000 (multiplicity 2)
Zn  0.000  0.000  0.500 (multiplicity 2)
Au  0.005  0.500  0.746 (multiplicity 4)
Au  0.239  0.000  0.374 (multiplicity 4)
Au  0.246  0.500  0.125 (multiplicity 4)

=====

No. 6
This entry pairs a crystal structure of SrPr2Te4 with its theoretical X-ray powder pattern. Radiation: λ = 1.5418 Å (Cu Kα). Structure: a DFT-relaxed cell (PBE, Alexandria).
Peak positions follow from Bragg's law for the DFT cell and can differ from measured ones.

Top 12 peaks for 5° ≤ 2θ ≤ 70°, low angle first:
| (hkl) | 2θ (°) | d (Å) | I_rel |
| --- | --- | --- | --- |
| 0 2 3 | 20.80 | 4.271 | 36 |
| 0 2 4 | 25.74 | 3.462 | 89 |
| 1 3 0 | 26.58 | 3.353 | 40 |
| 1 3 1 | 27.20 | 3.279 | 100 |
| 1 3 2 | 28.98 | 3.082 | 95 |
| 1 1 5 | 35.37 | 2.537 | 56 |
| 1 5 2 | 37.87 | 2.376 | 24 |
| 2 0 0 | 39.70 | 2.270 | 45 |
| 0 6 3 | 40.13 | 2.247 | 95 |
| 1 1 6 | 40.37 | 2.234 | 27 |
| 2 2 4 | 47.92 | 1.898 | 32 |
| 2 6 3 | 57.77 | 1.596 | 30 |

Cell: 4.541 14.918 15.631 Å, 90.00 90.00 90.00°
Space group Cmcm (No. 63)
Symmetry-distinct sites (fractional):
Sr  0.000  0.114  0.250 (multiplicity 4)
Pr  0.000  0.365  0.069 (multiplicity 8)
Te  0.000  0.000  0.000 (multiplicity 4)
Te  0.000  0.274  0.620 (multiplicity 8)
Te  0.000  0.455  0.250 (multiplicity 4)

=====

No. 7
This entry pairs a crystal structure of Tb3Tm3In with its theoretical X-ray powder pattern. Radiation: λ = 1.5418 Å (Cu Kα). Structure: a DFT-relaxed cell (PBE, Alexandria).
Peak positions follow from Bragg's law for the DFT cell and can differ from measured ones.

Top 12 peaks for 5° ≤ 2θ ≤ 70°, low angle first:
| (hkl) | 2θ (°) | d (Å) | I_rel |
| --- | --- | --- | --- |
| 1 0 1 | 19.48 | 4.558 | 1 |
| 2 0 1 | 27.38 | 3.257 | 2 |
| 1 2 0 | 29.30 | 3.048 | 24 |
| 0 0 2 | 32.41 | 2.762 | 25 |
| 1 2 1 | 33.58 | 2.669 | 100 |
| 1 2 2 | 44.25 | 2.047 | 16 |
| 4 1 0 | 51.96 | 1.760 | 19 |
| 1 2 3 | 58.56 | 1.576 | 20 |
| 2 4 0 | 60.77 | 1.524 | 3 |
| 4 1 2 | 62.59 | 1.484 | 21 |
| 2 4 1 | 63.30 | 1.469 | 15 |
| 0 0 4 | 67.86 | 1.381 | 3 |

Cell: 9.3120 9.3120 5.5244 Å, 90.00 90.00 120.00°
Space group P6_3/m (No. 176)
Symmetry-distinct sites (fractional):
Tb  0.0655  0.8201  0.2500 (multiplicity 6)
Tm  0.1055  0.6227  0.7500 (multiplicity 6)
In  0.3333  0.6667  0.2500 (multiplicity 2)

=====

No. 8
This entry pairs a crystal structure of Dy3ZrHg4 with its theoretical X-ray powder pattern. Radiation: λ = 1.5418 Å (Cu Kα). Structure: a DFT-relaxed cell (PBE, Alexandria).
Peak positions follow from Bragg's law for the DFT cell and can differ from measured ones.

Top 12 peaks for 5° ≤ 2θ ≤ 70°, low angle first:
| (hkl) | 2θ (°) | d (Å) | I_rel |
| --- | --- | --- | --- |
| 1 0 0 | 24.11 | 3.691 | 3 |
| 0 0 4 | 24.55 | 3.627 | 1 |
| 1 0 3 | 30.47 | 2.934 | 3 |
| 1 1 0 | 34.36 | 2.610 | 53 |
| 1 0 4 | 34.67 | 2.587 | 100 |
| 1 1 4 | 42.68 | 2.119 | 2 |
| 2 0 0 | 49.38 | 1.846 | 19 |
| 0 0 8 | 50.32 | 1.813 | 8 |
| 1 1 7 | 56.72 | 1.623 | 2 |
| 2 1 4 | 61.74 | 1.503 | 38 |
| 1 1 8 | 62.35 | 1.489 | 17 |
| 2 0 7 | 68.02 | 1.378 | 1 |

Cell: 3.691 3.691 14.507 Å, 90.00 90.00 90.00°
Space group P4/mmm (No. 123)
Symmetry-distinct sites (fractional):
Dy  0.000  0.000  0.000 (multiplicity 1)
Dy  0.000  0.000  0.259 (multiplicity 2)
Zr  0.000  0.000  0.500 (multiplicity 1)
Hg  0.500  0.500  0.129 (multiplicity 2)
Hg  0.500  0.500  0.386 (multiplicity 2)